Starting from a structure optimized by DFT (GGA-PBE), the powder X-ray diffraction pattern of Mg2Mn3FeS8 was computed for Cu Kα, 1.54184 Å.

The 10 most intense peaks (2θ = 10–90°), low angle first:
hkl 1 0 1, 2θ 15.12, intensity 84; hkl 1 1 0, 2θ 24.82, intensity 10; hkl 0 1 5, 2θ 29.18, intensity 73; hkl 0 2 4, 2θ 35.37, intensity 100; hkl 1 2 5, 2θ 46.50, intensity 43; hkl 2 0 8, 2θ 50.83, intensity 48; hkl 2 2 0, 2θ 50.95, intensity 45; hkl 4 0 4, 2θ 63.55, intensity 13; hkl 0 4 8, 2θ 74.83, intensity 12; hkl 2 2 12, 2θ 85.48, intensity 10

Atomic structure:
Lattice parameters (Å, degrees): 7.1692 7.1692 17.6221 90.00 90.00 120.00
Space group R-3m (No. 166, hexagonal axes)
One atom of each set of equivalent atoms:
Mg 0.0000 0.0000 0.1243 (multiplicity 6)
Mn 0.0000 0.5000 0.0000 (multiplicity 9)
Fe 0.0000 0.0000 0.5000 (multiplicity 3)
S 0.0000 0.0000 0.2627 (multiplicity 6)
S 0.0424 0.5212 0.2492 (multiplicity 18)

Starting from a structure optimized by DFT (GGA-PBE), the powder X-ray diffraction pattern of YAg was computed for Cu Kα, 1.54184 Å.

The 6 most intense peaks (2θ = 10–90°), low angle first:
hkl 1 0 0, 2θ 24.36, intensity 1; hkl 1 1 0, 2θ 34.72, intensity 100; hkl 2 0 0, 2θ 49.92, intensity 17; hkl 2 1 1, 2θ 62.24, intensity 34; hkl 2 2 0, 2θ 73.28, intensity 10; hkl 3 1 0, 2θ 83.71, intensity 15

Atomic structure:
Lattice parameters (Å, degrees): 3.6535 3.6535 3.6535 90.00 90.00 90.00
Space group Pm-3m (No. 221)
One atom of each set of equivalent atoms:
Y 0.0000 0.0000 0.0000 (multiplicity 1)
Ag 0.5000 0.5000 0.5000 (multiplicity 1)

Starting from a structure optimized by DFT (GGA-PBE), the powder X-ray diffraction pattern of Sr2LiH8O6 was computed for Cu Kα, 1.54184 Å.

The 10 most intense peaks (2θ = 10–90°), low angle first:
hkl 0 0 1, 2θ 10.28, intensity 45; hkl 0 1 1, 2θ 14.96, intensity 100; hkl 0 1 -1, 2θ 18.58, intensity 23; hkl 0 1 2, 2θ 22.02, intensity 17; hkl 1 0 0, 2θ 24.73, intensity 17; hkl -1 1 1, 2θ 29.02, intensity 29; hkl 1 -1 1, 2θ 31.12, intensity 16; hkl 1 2 0, 2θ 36.76, intensity 15; hkl 1 -2 0, 2θ 36.91, intensity 28; hkl 1 0 3, 2θ 40.20, intensity 29

Atomic structure:
Lattice parameters (Å, degrees): 3.6003 6.8080 8.8161 77.33 89.95 89.82
Space group P1 (No. 1)
One atom of each set of equivalent atoms:
Sr 0.0000 0.0000 0.0000 (multiplicity 1)
Sr 0.9998 0.4162 0.6478 (multiplicity 1)
Li 0.9942 0.1114 0.3015 (multiplicity 1)
H 0.2125 0.7621 0.3868 (multiplicity 1)
H 0.2162 0.5682 0.9518 (multiplicity 1)
H 0.4943 0.2864 0.1217 (multiplicity 1)
H 0.4970 0.7842 0.5848 (multiplicity 1)
H 0.5017 0.0858 0.7006 (multiplicity 1)
H 0.5027 0.6605 0.1300 (multiplicity 1)
H 0.7827 0.7619 0.3870 (multiplicity 1)
H 0.7879 0.5685 0.9521 (multiplicity 1)
O 0.0023 0.4927 0.9159 (multiplicity 1)
O 0.4972 0.1418 0.1654 (multiplicity 1)
O 0.4983 0.6632 0.5410 (multiplicity 1)
O 0.5008 0.1652 0.7821 (multiplicity 1)
O 0.5015 0.7208 0.0187 (multiplicity 1)
O 0.9973 0.8144 0.3166 (multiplicity 1)